1.
This entry pairs a crystal structure of Li5Mg2Ag2 with its calculated X-ray diffraction stick pattern. Radiation: Cu Ka. Structure: a cell relaxed with GGA-PBE.
Peak positions follow from Bragg's law for the DFT cell and can differ from measured ones.

```
data_Li5Mg2Ag2
_symmetry_space_group_name_H-M 'I m a 2'
_symmetry_Int_Tables_number 46
_symmetry_space_group_name_Hall 'I 2 -2a'
_cell_length_a 12.849
_cell_length_b 11.302
_cell_length_c 4.634
_cell_angle_alpha 90.00
_cell_angle_beta 90.00
_cell_angle_gamma 90.00
loop_
_atom_site_label
_atom_site_type_symbol
_atom_site_fract_x
_atom_site_fract_y
_atom_site_fract_z
Li1 Li 0.045 0.170 0.000
Li2 Li 0.146 0.694 0.013
Li3 Li 0.250 0.186 0.026
Mg1 Mg 0.000 0.000 0.506
Mg2 Mg 0.250 0.043 0.520
Ag1 Ag 0.140 0.553 0.514
```

Main lines, by angle (10° ≤ 2θ ≤ 90°):
two_theta, intensity
10.4, 27
15.7, 100
20.7, 66
24.6, 25
25.8, 33
27.8, 15
34.9, 75
37.9, 43
38.9, 22
41.8, 23
42.2, 19
42.6, 13

=====

2.
This entry pairs a crystal structure of Tl6Au3Se with its calculated X-ray diffraction stick pattern. Radiation: Cu Ka. Structure: a cell relaxed with GGA-PBE.
Peak positions follow from Bragg's law for the DFT cell and can differ from measured ones.

```
data_Tl6Au3Se
_symmetry_space_group_name_H-M 'P 1 21/m 1'
_symmetry_Int_Tables_number 11
_symmetry_space_group_name_Hall '-P 2yb'
_cell_length_a 11.886
_cell_length_b 4.291
_cell_length_c 11.996
_cell_angle_alpha 90.00
_cell_angle_beta 110.21
_cell_angle_gamma 90.00
loop_
_atom_site_label
_atom_site_type_symbol
_atom_site_fract_x
_atom_site_fract_y
_atom_site_fract_z
Tl1 Tl 0.093 0.250 0.455
Tl2 Tl 0.101 0.250 0.782
Tl3 Tl 0.109 0.250 0.114
Tl4 Tl 0.386 0.750 0.883
Tl5 Tl 0.395 0.750 0.546
Tl6 Tl 0.396 0.750 0.186
Au1 Au 0.167 0.750 0.964
Au2 Au 0.171 0.750 0.320
Au3 Au 0.339 0.250 0.330
Se1 Se 0.311 0.250 0.686
```

Main lines, by angle (10° ≤ 2θ ≤ 90°):
two_theta, intensity
26.2, 26
31.6, 100
31.7, 54
32.1, 40
32.7, 22
33.1, 32
38.5, 40
39.0, 27
39.3, 41
42.1, 40
45.4, 22
53.9, 19

=====

3.
This entry pairs a crystal structure of Nd4Dy7Er with its calculated X-ray diffraction stick pattern. Radiation: Cu Ka. Structure: a cell relaxed with GGA-PBE.
Peak positions follow from Bragg's law for the DFT cell and can differ from measured ones.

```
data_Nd4Dy7Er
_symmetry_space_group_name_H-M 'P -1'
_symmetry_Int_Tables_number 2
_symmetry_space_group_name_Hall '-P 1'
_cell_length_a 6.557
_cell_length_b 6.848
_cell_length_c 9.122
_cell_angle_alpha 85.26
_cell_angle_beta 77.25
_cell_angle_gamma 82.09
loop_
_atom_site_label
_atom_site_type_symbol
_atom_site_fract_x
_atom_site_fract_y
_atom_site_fract_z
Nd1 Nd 0.140 0.311 0.283
Nd2 Nd 0.338 0.884 0.694
Dy1 Dy 0.011 0.253 0.949
Dy2 Dy 0.182 0.802 0.359
Dy3 Dy 0.312 0.394 0.616
Dy4 Dy 0.500 0.000 0.000
Er1 Er 0.500 0.500 0.000
```

Main lines, by angle (10° ≤ 2θ ≤ 90°):
two_theta, intensity
30.2, 57
31.0, 61
31.4, 83
31.6, 79
31.9, 100
32.2, 55
32.3, 27
34.7, 17
43.0, 18
45.3, 19
46.6, 21
56.5, 18

=====

4.
This entry pairs a crystal structure of AcZn2SnN2 with its calculated X-ray diffraction stick pattern. Radiation: Cu Ka. Structure: a cell relaxed with GGA-PBE.
Peak positions follow from Bragg's law for the DFT cell and can differ from measured ones.

```
data_AcZn2SnN2
_symmetry_space_group_name_H-M 'P 1 21/m 1'
_symmetry_Int_Tables_number 11
_symmetry_space_group_name_Hall '-P 2yb'
_cell_length_a 5.004
_cell_length_b 6.091
_cell_length_c 7.445
_cell_angle_alpha 90.00
_cell_angle_beta 100.56
_cell_angle_gamma 90.00
loop_
_atom_site_label
_atom_site_type_symbol
_atom_site_fract_x
_atom_site_fract_y
_atom_site_fract_z
Ac1 Ac 0.145 0.250 0.402
Zn1 Zn 0.412 0.750 0.866
Zn2 Zn 0.415 0.750 0.246
Sn1 Sn 0.110 0.250 0.886
N1 N 0.272 0.007 0.699
```

Main lines, by angle (10° ≤ 2θ ≤ 90°):
two_theta, intensity
23.2, 44
24.7, 25
28.5, 57
29.3, 83
31.3, 100
33.1, 44
39.5, 76
44.8, 43
50.6, 20
53.3, 23
58.9, 21
59.0, 35

=====

5.
This entry pairs a crystal structure of Tb5Pr6Mg with its calculated X-ray diffraction stick pattern. Radiation: Cu Ka. Structure: a cell relaxed with GGA-PBE.
Peak positions follow from Bragg's law for the DFT cell and can differ from measured ones.

```
data_Tb5Pr6Mg
_symmetry_space_group_name_H-M 'I m m m'
_symmetry_Int_Tables_number 71
_symmetry_space_group_name_Hall '-I 2 2'
_cell_length_a 5.152
_cell_length_b 10.053
_cell_length_c 15.478
_cell_angle_alpha 90.00
_cell_angle_beta 90.00
_cell_angle_gamma 90.00
loop_
_atom_site_label
_atom_site_type_symbol
_atom_site_fract_x
_atom_site_fract_y
_atom_site_fract_z
Tb1 Tb 0.000 0.000 0.000
Tb2 Tb 0.000 0.000 0.330
Tb3 Tb 0.000 0.500 0.336
Pr1 Pr 0.000 0.247 0.500
Pr2 Pr 0.000 0.253 0.166
Mg1 Mg 0.000 0.500 0.000
```

Main lines, by angle (10° ≤ 2θ ≤ 90°):
two_theta, intensity
30.3, 100
34.8, 34
35.7, 16
50.0, 12
50.7, 23
59.6, 29
60.8, 13
63.0, 12
81.5, 6
82.6, 11
83.9, 5
86.1, 5

=====

6.
This entry pairs a crystal structure of Rb2AlPtBr6 with its calculated X-ray diffraction stick pattern. Radiation: Cu Ka. Structure: a cell relaxed with GGA-PBE.
Peak positions follow from Bragg's law for the DFT cell and can differ from measured ones.

```
data_Rb2AlPtBr6
_symmetry_space_group_name_H-M 'I 4/m m m'
_symmetry_Int_Tables_number 139
_symmetry_space_group_name_Hall '-I 4 2'
_cell_length_a 7.403
_cell_length_b 7.403
_cell_length_c 11.435
_cell_angle_alpha 90.00
_cell_angle_beta 90.00
_cell_angle_gamma 90.00
loop_
_atom_site_label
_atom_site_type_symbol
_atom_site_fract_x
_atom_site_fract_y
_atom_site_fract_z
Rb1 Rb 0.000 0.500 0.250
Al1 Al 0.000 0.000 0.000
Pt1 Pt 0.000 0.000 0.500
Br1 Br 0.000 0.000 0.215
Br2 Br 0.245 0.245 0.500
```

Main lines, by angle (10° ≤ 2θ ≤ 90°):
two_theta, intensity
14.3, 38
15.5, 23
16.9, 32
23.0, 42
26.3, 39
28.7, 77
31.3, 56
34.3, 100
35.9, 29
47.1, 70
49.2, 35
59.5, 34

=====

7.
This entry pairs a crystal structure of TlHg3F7 with its calculated X-ray diffraction stick pattern. Radiation: Cu Ka. Structure: a cell relaxed with GGA-PBE.
Peak positions follow from Bragg's law for the DFT cell and can differ from measured ones.

```
data_TlHg3F7
_symmetry_space_group_name_H-M 'C 1 2/m 1'
_symmetry_Int_Tables_number 12
_symmetry_space_group_name_Hall '-C 2y'
_cell_length_a 7.879
_cell_length_b 8.484
_cell_length_c 6.372
_cell_angle_alpha 90.00
_cell_angle_beta 116.25
_cell_angle_gamma 90.00
loop_
_atom_site_label
_atom_site_type_symbol
_atom_site_fract_x
_atom_site_fract_y
_atom_site_fract_z
Tl1 Tl 0.000 0.000 0.000
Hg1 Hg 0.000 0.268 0.500
Hg2 Hg 0.000 0.500 0.000
F1 F 0.000 0.000 0.500
F2 F 0.129 0.500 0.736
F3 F 0.153 0.284 0.248
```

Main lines, by angle (10° ≤ 2θ ≤ 90°):
two_theta, intensity
25.2, 58
26.2, 100
30.3, 44
31.3, 74
41.4, 40
42.6, 18
48.1, 25
50.2, 17
51.6, 19
52.7, 16
53.2, 16
65.3, 15

=====

8.
This entry pairs a crystal structure of PmDyTh3 with its calculated X-ray diffraction stick pattern. Radiation: Cu Ka. Structure: a cell relaxed with GGA-PBE.
Peak positions follow from Bragg's law for the DFT cell and can differ from measured ones.

```
data_PmDyTh3
_symmetry_space_group_name_H-M 'I m m a'
_symmetry_Int_Tables_number 74
_symmetry_space_group_name_Hall '-I 2b 2'
_cell_length_a 9.980
_cell_length_b 11.848
_cell_length_c 6.005
_cell_angle_alpha 90.00
_cell_angle_beta 90.00
_cell_angle_gamma 90.00
loop_
_atom_site_label
_atom_site_type_symbol
_atom_site_fract_x
_atom_site_fract_y
_atom_site_fract_z
Pm1 Pm 0.250 0.250 0.250
Dy1 Dy 0.000 0.250 0.695
Th1 Th 0.000 0.000 0.000
Th2 Th 0.169 0.000 0.500
```

Main lines, by angle (10° ≤ 2θ ≤ 90°):
two_theta, intensity
15.0, 44
24.4, 41
30.2, 64
30.7, 48
32.5, 20
33.5, 90
34.3, 100
43.6, 38
53.4, 18
55.8, 36
56.3, 26
62.6, 26

=====

9.
This entry pairs a crystal structure of Ce2MnAs3Ir4 with its calculated X-ray diffraction stick pattern. Radiation: Cu Ka. Structure: a cell relaxed with GGA-PBE.
Peak positions follow from Bragg's law for the DFT cell and can differ from measured ones.

```
data_Ce2MnAs3Ir4
_symmetry_space_group_name_H-M 'P -4 m 2'
_symmetry_Int_Tables_number 115
_symmetry_space_group_name_Hall 'P -4 -2'
_cell_length_a 4.144
_cell_length_b 4.144
_cell_length_c 10.520
_cell_angle_alpha 90.00
_cell_angle_beta 90.00
_cell_angle_gamma 90.00
loop_
_atom_site_label
_atom_site_type_symbol
_atom_site_fract_x
_atom_site_fract_y
_atom_site_fract_z
Ce1 Ce 0.000 0.500 0.249
Mn1 Mn 0.500 0.500 0.000
As1 As 0.000 0.000 0.000
As2 As 0.000 0.500 0.637
Ir1 Ir 0.000 0.000 0.500
Ir2 Ir 0.000 0.500 0.866
Ir3 Ir 0.500 0.500 0.500
```

Main lines, by angle (10° ≤ 2θ ≤ 90°):
two_theta, intensity
25.4, 14
31.7, 28
33.5, 51
35.1, 100
43.7, 65
46.4, 35
48.5, 31
56.1, 24
63.5, 21
67.3, 23
74.6, 22
87.9, 16

=====

10.
This entry pairs a crystal structure of LaPt6 with its calculated X-ray diffraction stick pattern. Radiation: Cu Ka. Structure: a cell relaxed with GGA-PBE.
Peak positions follow from Bragg's law for the DFT cell and can differ from measured ones.

```
data_LaPt6
_symmetry_space_group_name_H-M 'P n m a'
_symmetry_Int_Tables_number 62
_symmetry_space_group_name_Hall '-P 2ac 2n'
_cell_length_a 8.859
_cell_length_b 5.462
_cell_length_c 10.684
_cell_angle_alpha 90.00
_cell_angle_beta 90.00
_cell_angle_gamma 90.00
loop_
_atom_site_label
_atom_site_type_symbol
_atom_site_fract_x
_atom_site_fract_y
_atom_site_fract_z
La1 La 0.243 0.250 0.057
Pt1 Pt 0.066 0.005 0.302
Pt2 Pt 0.068 0.750 0.078
Pt3 Pt 0.112 0.250 0.520
Pt4 Pt 0.162 0.750 0.838
Pt5 Pt 0.177 0.250 0.774
```

Main lines, by angle (10° ≤ 2θ ≤ 90°):
two_theta, intensity
32.8, 28
35.1, 74
35.6, 75
36.3, 44
37.0, 28
38.7, 26
39.7, 94
41.6, 62
42.4, 26
42.9, 100
43.6, 25
68.8, 28

=====

11.
This entry pairs a crystal structure of Nd2Zn2Cu with its calculated X-ray diffraction stick pattern. Radiation: Cu Ka. Structure: a cell relaxed with GGA-PBE.
Peak positions follow from Bragg's law for the DFT cell and can differ from measured ones.

```
data_Nd2Zn2Cu
_symmetry_space_group_name_H-M 'C 1 2/m 1'
_symmetry_Int_Tables_number 12
_symmetry_space_group_name_Hall '-C 2y'
_cell_length_a 10.161
_cell_length_b 4.565
_cell_length_c 10.887
_cell_angle_alpha 90.00
_cell_angle_beta 116.77
_cell_angle_gamma 90.00
loop_
_atom_site_label
_atom_site_type_symbol
_atom_site_fract_x
_atom_site_fract_y
_atom_site_fract_z
Nd1 Nd 0.018 0.000 0.336
Nd2 Nd 0.202 0.000 0.111
Zn1 Zn 0.000 0.500 0.118
Zn2 Zn 0.146 0.500 0.562
Cu1 Cu 0.228 0.500 0.351
```

Main lines, by angle (10° ≤ 2θ ≤ 90°):
two_theta, intensity
25.3, 23
31.4, 57
31.6, 100
33.2, 50
33.3, 57
35.3, 29
36.0, 29
37.0, 37
39.5, 66
40.2, 54
40.4, 21
55.2, 32

=====

What is the formula in the eighth record?
PmDyTh3